Structure and theoretical XRD peak list of Be3Zn5 (the GGA-PBE geometry in Alexandria; a wavelength of 1.5418 Å).
No peak broadening, texture or thermal motion is included.

Peak list (8 most intense, 2θ from 5° to 70°, by angle)
2theta  I (rel.)
20.67  37
30.44  29
39.55  29
44.35  51
45.09  31
45.24  31
45.85  100
45.93  30

Crystal structure
```
Be3Zn5
1.0
4.9117 0.0000 0.0000
1.9895 6.3004 0.0000
1.9616 -0.1764 6.3167
Be Zn
6 10
direct
0.0050 0.3359 0.4154
0.2495 0.4526 0.0476
0.4905 0.0858 0.1660
0.5095 0.9142 0.8340
0.7505 0.5474 0.9524
0.9950 0.6641 0.5846
0.0128 0.1725 0.0896
0.2136 0.3139 0.7151
0.2501 0.9611 0.5383
0.2885 0.7842 0.1843
0.4866 0.4110 0.3273
0.5134 0.5890 0.6727
0.7115 0.2158 0.8157
0.7499 0.0389 0.4617
0.7864 0.6861 0.2849
0.9872 0.8275 0.9104
```

Structure and theoretical XRD peak list of BeZn (the GGA-PBE geometry in Alexandria; a wavelength of 1.5418 Å).
No peak broadening, texture or thermal motion is included.

Peak list (8 most intense, 2θ from 5° to 70°, by angle)
2theta  I (rel.)
29.95  100
34.91  34
40.64  31
45.02  23
46.65  81
54.63  18
58.20  15
62.24  16

Crystal structure
```
BeZn
1.0
2.0138 -6.6603 0.0000
2.0138 6.6603 0.0000
0.0000 0.0000 2.5698
Be Zn
3 3
direct
0.0000 0.0000 0.0000
0.3352 0.6648 0.0000
0.6648 0.3352 0.0000
0.1677 0.8323 0.5000
0.5000 0.5000 0.5000
0.8323 0.1677 0.5000
```

Structure and theoretical XRD peak list of Be5Zn3 (the GGA-PBE geometry in Alexandria; a wavelength of 1.5418 Å).
No peak broadening, texture or thermal motion is included.

Peak list (8 most intense, 2θ from 5° to 70°, by angle)
2theta  I (rel.)
22.48  42
31.55  17
34.68  100
44.55  17
47.79  10
48.02  11
49.26  13
50.45  13

Crystal structure
```
Be5Zn3
1.0
6.7953 0.0000 0.0000
0.0000 4.0679 0.0000
-2.2287 0.0000 6.4609
Be Zn
10 6
direct
0.0761 0.2500 0.2760
0.0957 0.2500 0.5955
0.2241 0.7500 0.4221
0.3263 0.0002 0.1746
0.3263 0.4998 0.1746
0.6737 0.9998 0.8254
0.6737 0.5002 0.8254
0.7759 0.2500 0.5779
0.9043 0.7500 0.4045
0.9239 0.7500 0.7240
0.0508 0.2500 0.9099
0.3444 0.7500 0.8440
0.4098 0.2500 0.5499
0.5902 0.7500 0.4501
0.6556 0.2500 0.1560
0.9492 0.7500 0.0901
```

Structure and theoretical XRD peak list of Zr4BeZn (the GGA-PBE geometry in Alexandria; a wavelength of 1.5418 Å).
No peak broadening, texture or thermal motion is included.

Peak list (8 most intense, 2θ from 5° to 70°, by angle)
2theta  I (rel.)
34.44  100
40.79  29
42.60  12
46.57  11
57.78  12
66.67  10
66.79  14
69.67  13

Crystal structure
```
Zr4BeZn
1.0
-3.4974 3.4974 2.3495
3.4974 -3.4974 2.3495
3.4974 3.4974 -2.3495
Zr Be Zn
4 1 1
direct
0.0954 0.5954 0.1909
0.4046 0.9046 0.8091
0.5954 0.4046 0.5000
0.9046 0.0954 0.5000
0.0000 0.0000 0.0000
0.5000 0.5000 0.0000
```

Structure and theoretical XRD peak list of ZrBe2 (the GGA-PBE geometry in Alexandria; a wavelength of 1.5418 Å).
No peak broadening, texture or thermal motion is included.

Peak list (8 most intense, 2θ from 5° to 70°, by angle)
2theta  I (rel.)
19.43  56
19.79  41
31.23  100
34.20  78
34.84  42
37.04  58
39.48  65
53.66  42

Crystal structure
```
ZrBe2
1.0
-1.7234 2.5748 4.5687
1.7234 -2.5748 4.5687
1.7234 2.5748 -4.5687
Zr Be
2 4
direct
0.1809 0.1809 0.0000
0.8191 0.8191 0.0000
0.2891 0.5000 0.7891
0.3922 0.8922 0.5000
0.6078 0.1078 0.5000
0.7109 0.5000 0.2109
```

Structure and theoretical XRD peak list of Zr6Be23 (the GGA-PBE geometry in Alexandria; a wavelength of 1.5418 Å).
No peak broadening, texture or thermal motion is included.

Peak list (8 most intense, 2θ from 5° to 70°, by angle)
2theta  I (rel.)
14.09  45
16.28  40
28.40  100
32.91  50
35.96  42
40.60  34
43.18  73
47.23  36

Crystal structure
```
Zr6Be23
1.0
0.0000 5.4432 5.4432
5.4432 0.0000 5.4432
5.4432 5.4432 0.0000
Zr Be
6 23
direct
0.2063 0.2063 0.7937
0.2063 0.7937 0.2063
0.2063 0.7937 0.7937
0.7937 0.2063 0.2063
0.7937 0.2063 0.7937
0.7937 0.7937 0.2063
0.0000 0.0000 0.5000
0.0000 0.5000 0.0000
0.0000 0.5000 0.5000
0.1157 0.6281 0.6281
0.1777 0.1777 0.1777
0.1777 0.1777 0.4670
0.1777 0.4670 0.1777
0.3719 0.3719 0.3719
0.3719 0.3719 0.8843
0.3719 0.8843 0.3719
0.4670 0.1777 0.1777
0.5000 0.0000 0.0000
0.5000 0.0000 0.5000
0.5000 0.5000 0.0000
0.5000 0.5000 0.5000
0.5330 0.8223 0.8223
0.6281 0.1157 0.6281
0.6281 0.6281 0.1157
0.6281 0.6281 0.6281
0.8223 0.5330 0.8223
0.8223 0.8223 0.5330
0.8223 0.8223 0.8223
0.8843 0.3719 0.3719
```

Structure and theoretical XRD peak list of ZrBe13 (the GGA-PBE geometry in Alexandria; a wavelength of 1.5418 Å).
No peak broadening, texture or thermal motion is included.

Peak list (8 most intense, 2θ from 5° to 70°, by angle)
2theta  I (rel.)
17.75  81
25.21  100
31.00  46
35.95  24
40.36  79
44.41  72
58.41  27
67.60  18

Crystal structure
```
ZrBe13
1.0
0.0000 4.9965 4.9965
4.9965 0.0000 4.9965
4.9965 4.9965 0.0000
Zr Be
2 26
direct
0.2500 0.2500 0.2500
0.7500 0.7500 0.7500
0.0000 0.0000 0.0000
0.0616 0.2934 0.7066
0.0616 0.7066 0.9384
0.0616 0.9384 0.2934
0.2066 0.4384 0.7934
0.2066 0.5616 0.4384
0.2066 0.7934 0.5616
0.2934 0.0616 0.9384
0.2934 0.7066 0.0616
0.2934 0.9384 0.7066
0.4384 0.2066 0.5616
0.4384 0.5616 0.7934
0.4384 0.7934 0.2066
0.5000 0.5000 0.5000
0.5616 0.2066 0.7934
0.5616 0.4384 0.2066
0.5616 0.7934 0.4384
0.7066 0.0616 0.2934
0.7066 0.2934 0.9384
0.7066 0.9384 0.0616
0.7934 0.2066 0.4384
0.7934 0.4384 0.5616
0.7934 0.5616 0.2066
0.9384 0.0616 0.7066
0.9384 0.2934 0.0616
0.9384 0.7066 0.2934
```

Structure and theoretical XRD peak list of Zr5Be3 (the GGA-PBE geometry in Alexandria; a wavelength of 1.5418 Å).
No peak broadening, texture or thermal motion is included.

Peak list (8 most intense, 2θ from 5° to 70°, by angle)
2theta  I (rel.)
27.53  92
27.70  62
33.54  91
34.14  100
36.63  40
37.58  50
39.39  74
41.06  57

Crystal structure
```
Zr5Be3
1.0
5.4027 -5.0612 0.0000
5.4027 5.0612 0.0000
-1.7434 0.0000 5.2702
Zr Be
10 6
direct
0.0075 0.9925 0.7500
0.1721 0.6223 0.4453
0.2308 0.3551 0.8832
0.3551 0.2308 0.3832
0.3777 0.8279 0.0547
0.6223 0.1721 0.9453
0.6449 0.7692 0.6168
0.7692 0.6449 0.1168
0.8279 0.3777 0.5547
0.9925 0.0075 0.2500
0.0354 0.6684 0.8919
0.3316 0.9646 0.6081
0.4990 0.5010 0.2500
0.5010 0.4990 0.7500
0.6684 0.0354 0.3919
0.9646 0.3316 0.1081
```

Structure and theoretical XRD peak list of ZrBe (the GGA-PBE geometry in Alexandria; a wavelength of 1.5418 Å).
No peak broadening, texture or thermal motion is included.

Peak list (8 most intense, 2θ from 5° to 70°, by angle)
2theta  I (rel.)
23.02  80
32.04  96
36.34  100
39.16  26
39.59  52
45.05  24
56.35  37
64.46  26

Crystal structure
```
ZrBe
1.0
-1.7576 2.0125 6.9011
1.7576 -2.0125 6.9011
1.7576 2.0125 -6.9011
Zr Be
3 3
direct
0.0000 0.0000 0.0000
0.1821 0.6821 0.5000
0.8179 0.3179 0.5000
0.3809 0.8809 0.5000
0.5000 0.5000 0.0000
0.6191 0.1191 0.5000
```

Structure and theoretical XRD peak list of BiBr (the GGA-PBE geometry in Alexandria; a wavelength of 1.5418 Å).
No peak broadening, texture or thermal motion is included.

Peak list (8 most intense, 2θ from 5° to 70°, by angle)
2theta  I (rel.)
8.37  47
12.00  66
15.95  23
25.80  53
27.70  100
34.50  36
40.33  26
41.65  33

Crystal structure
```
BiBr
1.0
7.5238 -2.1303 0.0000
7.5238 2.1303 0.0000
-2.1236 0.0000 10.5609
Bi Br
4 4
direct
0.1767 0.1767 0.4881
0.1786 0.1786 0.7750
0.8214 0.8214 0.2250
0.8233 0.8233 0.5119
0.1863 0.1863 0.1486
0.4580 0.4580 0.2819
0.5420 0.5420 0.7181
0.8137 0.8137 0.8514
```

Structure and theoretical XRD peak list of BiBr2 (the GGA-PBE geometry in Alexandria; a wavelength of 1.5418 Å).
No peak broadening, texture or thermal motion is included.

Peak list (8 most intense, 2θ from 5° to 70°, by angle)
2theta  I (rel.)
14.12  100
19.46  36
24.16  51
25.46  72
31.03  89
32.65  28
36.59  70
44.24  32

Crystal structure
```
BiBr2
1.0
4.5936 -2.0876 0.0000
4.5936 2.0876 0.0000
-3.8500 0.0000 6.2722
Bi Br
1 2
direct
0.0000 0.0000 0.0000
0.2495 0.2495 0.7649
0.7505 0.7505 0.2351
```

Structure and theoretical XRD peak list of Bi3Br (the GGA-PBE geometry in Alexandria; a wavelength of 1.5418 Å).
No peak broadening, texture or thermal motion is included.

Peak list (8 most intense, 2θ from 5° to 70°, by angle)
2theta  I (rel.)
12.46  43
23.83  12
25.08  17
30.61  100
37.82  34
38.41  18
41.12  15
64.67  12

Crystal structure
```
Bi3Br
1.0
4.3901 0.0000 0.0000
0.0000 4.6873 0.0000
0.0000 0.0000 7.1018
Bi Br
3 1
direct
0.0000 0.0000 0.0000
0.0000 0.5000 0.3175
0.5000 0.0000 0.3369
0.5000 0.5000 0.7993
```